Structure and theoretical PXRD pattern of Tl2As7Pd12 (the GGA-PBE geometry in Alexandria; Cu Ka).
Peak positions follow from Bragg's law for the DFT cell and can differ from measured ones.

Unit cell a=10.3940 b=10.3940 c=4.0035 alpha=90.00 beta=90.00 gamma=120.00
Sites, in units of the cell vectors:
1 Tl 0.3333 0.6667 0.2484
2 Tl 0.6667 0.3333 0.7516
3 As 0.0000 0.0000 0.5000
4 As 0.1084 0.4024 0.7485
5 As 0.2940 0.8916 0.7485
6 As 0.4024 0.2940 0.2515
7 As 0.5976 0.7060 0.7485
8 As 0.7060 0.1084 0.2515
9 As 0.8916 0.5976 0.2515
10 Pd 0.0620 0.6239 0.7485
11 Pd 0.1139 0.8620 0.2392
12 Pd 0.1380 0.2518 0.2392
13 Pd 0.2518 0.1139 0.7608
14 Pd 0.3761 0.4381 0.7485
15 Pd 0.4381 0.0620 0.2515
16 Pd 0.5619 0.9380 0.7485
17 Pd 0.6239 0.5619 0.2515
18 Pd 0.7482 0.8861 0.2392
19 Pd 0.8620 0.7482 0.7608
20 Pd 0.8861 0.1380 0.7608
21 Pd 0.9380 0.3761 0.2515

Principal peaks in the range 5° ≤ 2θ ≤ 70°, in order of falling intensity:
- 34.6 deg, d = 2.593 Å, rel. 100, hkl 3 -1 1
- 46.2 deg, d = 1.964 Å, rel. 24, hkl 4 1 0
- 45.3 deg, d = 2.002 Å, rel. 16, hkl 0 0 2
- 42.7 deg, d = 2.118 Å, rel. 11, hkl 3 1 1
- 66.7 deg, d = 1.402 Å, rel. 11, hkl 5 -4 2
- 29.8 deg, d = 2.997 Å, rel. 10, hkl 3 0 0
- 49.7 deg, d = 1.835 Å, rel. 9, hkl 5 -2 1
- 37.5 deg, d = 2.401 Å, rel. 9, hkl 3 0 1
- 59.0 deg, d = 1.566 Å, rel. 8, hkl 2 4 1
- 40.1 deg, d = 2.250 Å, rel. 8, hkl 4 0 0
- 43.8 deg, d = 2.065 Å, rel. 8, hkl 2 3 0
- 62.1 deg, d = 1.496 Å, rel. 7, hkl 0 4 2